Record 1
Computed X-ray powder pattern
Compound: Zr3V4Fe2
Radiation: λ = 1.5418 Å (Cu Kα)
Structure: DFT lattice parameters and positions (GGA-PBE)
Lines closer than 0.1° are merged.

Largest 8 diffraction maxima, by intensity, 2θ = 15–90°:
| h k l | Position (°2θ) | d [Å] | I (rel.) |
| --- | --- | --- | --- |
| 0 1 4 | 34.8 | 2.576 | 100 |
| 0 2 -1 | 40.9 | 2.208 | 73 |
| 2 0 -1 | 41.7 | 2.165 | 71 |
| 2 1 3 | 41.2 | 2.189 | 68 |
| 2 2 1 | 41.4 | 2.179 | 66 |
| 1 -1 3 | 41.0 | 2.204 | 61 |
| 2 1 0 | 35.5 | 2.531 | 59 |
| 2 4 0 | 73.5 | 1.288 | 45 |

Crystal structure
```
data_Zr3V4Fe2
_space_group_name_H-M_alt 'P -1'
_space_group_IT_number 2
_space_group_name_Hall '-P 1'
_cell_length_a 5.0643
_cell_length_b 5.1514
_cell_length_c 12.5621
_cell_angle_alpha 89.21
_cell_angle_beta 88.63
_cell_angle_gamma 60.60
loop_
_atom_site_label
_atom_site_type_symbol
_atom_site_fract_x
_atom_site_fract_y
_atom_site_fract_z
Zr1 Zr 0.0035 0.4994 0.1205
Zr2 Zr 0.3316 0.8315 0.5424
Zr3 Zr 0.3372 0.8338 0.7947
V1 V 0.0000 0.0000 0.0000
V2 V 0.0000 0.5000 0.5000
V3 V 0.1674 0.1656 0.3319
V4 V 0.3345 0.3318 0.6673
V5 V 0.3374 0.8269 0.1620
Fe1 Fe 0.1659 0.6672 0.3323
Fe2 Fe 0.5000 0.0000 0.0000
Fe3 Fe 0.5000 0.5000 0.0000
```

---

Record 2
Computed X-ray powder pattern
Compound: Fe2W
Radiation: λ = 1.5418 Å (Cu Kα)
Structure: DFT lattice parameters and positions (GGA-PBE)
Lines closer than 0.1° are merged.

Largest 8 diffraction maxima, by intensity, 2θ = 15–90°:
| h k l | Position (°2θ) | d [Å] | I (rel.) |
| --- | --- | --- | --- |
| 1 0 3 | 41.3 | 2.187 | 100 |
| 1 1 2 | 45.2 | 2.006 | 75 |
| 1 1 0 | 38.5 | 2.340 | 63 |
| 2 0 1 | 46.3 | 1.961 | 45 |
| 2 1 3 | 71.5 | 1.320 | 37 |
| 2 0 5 | 77.2 | 1.236 | 20 |
| 1 0 0 | 21.9 | 4.053 | 18 |
| 2 2 0 | 82.4 | 1.170 | 18 |

Crystal structure
```
data_Fe2W
_space_group_name_H-M_alt 'P 63/m m c'
_space_group_IT_number 194
_space_group_name_Hall '-P 6c 2c'
_cell_length_a 4.6796
_cell_length_b 4.6796
_cell_length_c 7.7948
_cell_angle_alpha 90.00
_cell_angle_beta 90.00
_cell_angle_gamma 120.00
loop_
_atom_site_label
_atom_site_type_symbol
_atom_site_fract_x
_atom_site_fract_y
_atom_site_fract_z
Fe1 Fe 0.0000 0.0000 0.0000
Fe2 Fe 0.1705 0.3409 0.2500
W1 W 0.3333 0.6667 0.5687
```

---

Record 3
Computed X-ray powder pattern
Compound: Fe3W
Radiation: λ = 1.5418 Å (Cu Kα)
Structure: DFT lattice parameters and positions (GGA-PBE)
Lines closer than 0.1° are merged.

Largest 8 diffraction maxima, by intensity, 2θ = 15–90°:
| h k l | Position (°2θ) | d [Å] | I (rel.) |
| --- | --- | --- | --- |
| 2 0 1 | 46.4 | 1.957 | 100 |
| 1 0 1 | 29.5 | 3.029 | 43 |
| 0 0 2 | 43.7 | 2.070 | 27 |
| 2 0 0 | 40.6 | 2.222 | 25 |
| 2 0 3 | 82.3 | 1.172 | 18 |
| 1 1 0 | 35.0 | 2.565 | 18 |
| 2 2 0 | 73.9 | 1.283 | 16 |
| 2 0 2 | 61.2 | 1.514 | 14 |

Crystal structure
```
data_Fe3W
_space_group_name_H-M_alt 'P 63/m m c'
_space_group_IT_number 194
_space_group_name_Hall '-P 6c 2c'
_cell_length_a 5.1306
_cell_length_b 5.1306
_cell_length_c 4.1391
_cell_angle_alpha 90.00
_cell_angle_beta 90.00
_cell_angle_gamma 120.00
loop_
_atom_site_label
_atom_site_type_symbol
_atom_site_fract_x
_atom_site_fract_y
_atom_site_fract_z
Fe1 Fe 0.1610 0.3221 0.2500
W1 W 0.3333 0.6667 0.7500
```

---

Record 4
Computed X-ray powder pattern
Compound: Fe3W
Radiation: λ = 1.5418 Å (Cu Kα)
Structure: DFT lattice parameters and positions (GGA-PBE)
Lines closer than 0.1° are merged.

Largest 8 diffraction maxima, by intensity, 2θ = 15–90°:
| h k l | Position (°2θ) | d [Å] | I (rel.) |
| --- | --- | --- | --- |
| 1 1 1 | 43.3 | 2.088 | 100 |
| 2 0 0 | 50.5 | 1.808 | 47 |
| 1 0 0 | 24.6 | 3.616 | 38 |
| 1 1 0 | 35.1 | 2.557 | 31 |
| 2 2 0 | 74.2 | 1.278 | 29 |
| 2 1 0 | 56.9 | 1.617 | 17 |
| 2 1 1 | 63.0 | 1.476 | 13 |
| 3 0 0 | 79.5 | 1.205 | 8 |

Crystal structure
```
data_Fe3W
_space_group_name_H-M_alt 'P m -3 m'
_space_group_IT_number 221
_space_group_name_Hall '-P 4 2 3'
_cell_length_a 3.6157
_cell_length_b 3.6157
_cell_length_c 3.6157
_cell_angle_alpha 90.00
_cell_angle_beta 90.00
_cell_angle_gamma 90.00
loop_
_atom_site_label
_atom_site_type_symbol
_atom_site_fract_x
_atom_site_fract_y
_atom_site_fract_z
Fe1 Fe 0.0000 0.0000 0.5000
W1 W 0.5000 0.5000 0.5000
```